# PrPRuN
Calculated powder X-ray diffraction pattern, Cu Ka. Input: the GGA-PBE geometry in Alexandria.

Structural model:
Cell lengths 3.988, 3.988, 7.980 Å; angles 90.00, 90.00, 90.00 degrees
Space group P4/nmm (No. 129, origin choice 2)
Inequivalent atoms, fractional coordinates:
Pr1 0.250 0.250 0.168 [2 per cell]
P1 0.250 0.250 0.650 [2 per cell]
Ru1 0.250 0.750 0.500 [2 per cell]
N1 0.250 0.250 0.862 [2 per cell]

Principal peaks in the range 5 to 70 degrees two-theta, in order of falling intensity:
- 33.7 deg, d = 2.659 Å, I 100
- 31.7 deg, d = 2.821 Å, I 66
- 39.1 deg, d = 2.303 Å, I 58
- 56.5 deg, d = 1.628 Å, I 45
- 45.5 deg, d = 1.994 Å, I 44
- 25.0 deg, d = 3.568 Å, I 40
- 57.8 deg, d = 1.596 Å, I 27
- 11.1 deg, d = 7.980 Å, I 18